[1]
Simulated PXRD pattern of NaBC4N4 for λ = 1.5418 Å (Cu Kα), from a PBE-relaxed structure.
No peak broadening, texture or thermal motion is included.

Structural model:
```
NaBC4N4
1.0
0.000 5.937 5.937
5.937 0.000 5.937
5.937 5.937 0.000
Na B C N
2 2 8 8
direct
0.125 0.125 0.125
0.875 0.875 0.875
0.375 0.375 0.375
0.625 0.625 0.625
0.298 0.298 0.298
0.298 0.298 0.607
0.298 0.607 0.298
0.393 0.702 0.702
0.607 0.298 0.298
0.702 0.393 0.702
0.702 0.702 0.393
0.702 0.702 0.702
0.224 0.759 0.759
0.241 0.241 0.241
0.241 0.241 0.776
0.241 0.776 0.241
0.759 0.224 0.759
0.759 0.759 0.224
0.759 0.759 0.759
0.776 0.241 0.241
```

The 10 most intense peaks (10° ≤ 2θ ≤ 90°), in order of rising 2θ:
2θ 21.2, 4.198 Å, I = 91; 2θ 26.0, 3.428 Å, I = 100; 2θ 30.1, 2.969 Å, I = 11; 2θ 32.9, 2.724 Å, I = 7; 2θ 37.1, 2.424 Å, I = 12; 2θ 39.4, 2.285 Å, I = 7; 2θ 43.1, 2.099 Å, I = 37; 2θ 45.9, 1.979 Å, I = 7; 2θ 51.0, 1.790 Å, I = 9; 2θ 58.1, 1.587 Å, I = 12

=====

[2]
Simulated PXRD pattern of TlBC2N2 for λ = 1.5418 Å (Cu Kα), from a PBE-relaxed structure.
No peak broadening, texture or thermal motion is included.

Structural model:
```
TlBC2N2
1.0
-4.150 4.150 6.882
4.150 -4.150 6.882
4.150 4.150 -6.882
Tl B C N
4 4 8 8
direct
0.000 0.000 0.000
0.500 0.000 0.000
0.500 0.000 0.500
0.500 0.500 0.500
0.000 0.000 0.500
0.000 0.500 0.000
0.000 0.500 0.500
0.500 0.500 0.000
0.104 0.098 0.739
0.136 0.396 0.494
0.142 0.636 0.239
0.402 0.642 0.006
0.598 0.358 0.994
0.858 0.364 0.761
0.864 0.604 0.506
0.896 0.902 0.261
0.187 0.182 0.941
0.253 0.313 0.495
0.258 0.753 0.441
0.318 0.758 0.005
0.682 0.242 0.995
0.742 0.247 0.559
0.747 0.687 0.505
0.813 0.818 0.059
```

The 10 most intense peaks (10° ≤ 2θ ≤ 90°), in order of rising 2θ:
2θ 12.5, 7.108 Å, I = 100; 2θ 22.1, 4.016 Å, I = 19; 2θ 24.8, 3.584 Å, I = 57; 2θ 25.1, 3.554 Å, I = 94; 2θ 25.9, 3.441 Å, I = 39; 2θ 30.5, 2.935 Å, I = 46; 2θ 31.0, 2.886 Å, I = 25; 2θ 40.4, 2.233 Å, I = 39; 2θ 45.2, 2.008 Å, I = 24; 2θ 51.0, 1.792 Å, I = 30

=====

[3]
Simulated PXRD pattern of Na10B13C7 for λ = 1.5418 Å (Cu Kα), from a PBE-relaxed structure.
No peak broadening, texture or thermal motion is included.

Structural model:
```
Na10B13C7
1.0
7.170 -2.507 0.000
7.170 2.507 0.000
-2.873 0.000 8.520
Na B C
10 13 7
direct
0.049 0.049 0.247
0.148 0.151 0.751
0.249 0.249 0.249
0.350 0.350 0.753
0.450 0.449 0.249
0.551 0.550 0.751
0.650 0.650 0.247
0.751 0.751 0.751
0.849 0.852 0.249
0.951 0.951 0.753
0.133 0.467 0.000
0.145 0.855 0.500
0.238 0.561 0.500
0.315 0.685 0.000
0.361 0.048 0.500
0.439 0.762 0.500
0.533 0.867 0.000
0.578 0.221 0.500
0.667 0.333 0.000
0.730 0.059 0.000
0.779 0.422 0.500
0.941 0.270 0.000
0.952 0.639 0.500
0.035 0.366 0.501
0.065 0.732 0.000
0.268 0.935 0.000
0.468 0.127 0.000
0.634 0.965 0.499
0.836 0.164 0.500
0.873 0.532 0.000
```

The 10 most intense peaks (10° ≤ 2θ ≤ 90°), in order of rising 2θ:
2θ 35.8, 2.507 Å, I = 9; 2θ 36.1, 2.490 Å, I = 18; 2θ 41.8, 2.161 Å, I = 51; 2θ 42.0, 2.149 Å, I = 100; 2θ 42.4, 2.130 Å, I = 38; 2θ 56.9, 1.618 Å, I = 10; 2θ 64.5, 1.444 Å, I = 18; 2θ 65.0, 1.434 Å, I = 9; 2θ 77.4, 1.233 Å, I = 12; 2θ 80.3, 1.195 Å, I = 28

=====

[4]
Simulated PXRD pattern of Na5B9C for λ = 1.5418 Å (Cu Kα), from a PBE-relaxed structure.
No peak broadening, texture or thermal motion is included.

Structural model:
```
Na5B9C
1.0
7.539 -2.557 0.000
7.539 2.557 0.000
-6.040 0.000 8.649
Na B C
10 18 2
direct
0.000 0.000 0.249
0.000 0.000 0.751
0.198 0.199 0.248
0.202 0.198 0.750
0.399 0.402 0.752
0.404 0.396 0.250
0.598 0.601 0.248
0.604 0.596 0.750
0.801 0.802 0.752
0.802 0.798 0.250
0.037 0.361 0.001
0.048 0.364 0.500
0.162 0.838 0.000
0.178 0.822 0.500
0.210 0.573 0.500
0.229 0.576 0.000
0.383 0.021 0.000
0.424 0.771 0.000
0.427 0.790 0.500
0.566 0.228 0.000
0.569 0.228 0.500
0.636 0.952 0.500
0.639 0.963 0.999
0.772 0.431 0.500
0.772 0.434 0.000
0.819 0.181 0.000
0.823 0.177 0.500
0.979 0.617 0.000
0.366 0.037 0.500
0.963 0.634 0.500
```

The 10 most intense peaks (10° ≤ 2θ ≤ 90°), in order of rising 2θ:
2θ 34.5, 2.598 Å, I = 22; 2θ 40.5, 2.227 Å, I = 100; 2θ 41.0, 2.201 Å, I = 51; 2θ 41.8, 2.162 Å, I = 36; 2θ 55.3, 1.662 Å, I = 11; 2θ 61.5, 1.508 Å, I = 9; 2θ 62.6, 1.484 Å, I = 18; 2θ 75.4, 1.260 Å, I = 12; 2θ 76.6, 1.244 Å, I = 12; 2θ 78.1, 1.224 Å, I = 17

=====

[5]
Simulated PXRD pattern of Na5B9C for λ = 1.5418 Å (Cu Kα), from a PBE-relaxed structure.
No peak broadening, texture or thermal motion is included.

Structural model:
```
Na5B9C
1.0
7.511 -2.563 0.000
7.511 2.563 0.000
0.000 0.000 8.662
Na B C
10 18 2
direct
0.000 0.000 0.000
0.000 0.000 0.500
0.200 0.200 0.000
0.200 0.200 0.500
0.400 0.400 0.000
0.400 0.400 0.500
0.600 0.600 0.000
0.600 0.600 0.500
0.800 0.800 0.000
0.800 0.800 0.500
0.063 0.736 0.750
0.089 0.729 0.250
0.120 0.480 0.250
0.136 0.469 0.750
0.264 0.937 0.750
0.271 0.911 0.250
0.342 0.658 0.750
0.469 0.136 0.250
0.480 0.120 0.750
0.520 0.880 0.250
0.531 0.864 0.750
0.658 0.342 0.250
0.729 0.089 0.750
0.736 0.063 0.250
0.864 0.531 0.250
0.880 0.520 0.750
0.911 0.271 0.750
0.937 0.264 0.250
0.341 0.659 0.250
0.659 0.341 0.750
```

The 10 most intense peaks (10° ≤ 2θ ≤ 90°), in order of rising 2θ:
2θ 34.6, 2.592 Å, I = 21; 2θ 35.0, 2.563 Å, I = 9; 2θ 40.6, 2.224 Å, I = 100; 2θ 40.9, 2.205 Å, I = 51; 2θ 41.7, 2.166 Å, I = 36; 2θ 55.3, 1.662 Å, I = 11; 2θ 62.5, 1.485 Å, I = 18; 2θ 75.4, 1.261 Å, I = 12; 2θ 76.8, 1.242 Å, I = 12; 2θ 78.0, 1.225 Å, I = 17

=====

[6]
Simulated PXRD pattern of Na5B8C2 for λ = 1.5418 Å (Cu Kα), from a PBE-relaxed structure.
No peak broadening, texture or thermal motion is included.

Structural model:
```
Na5B8C2
1.0
5.285 0.000 0.000
0.000 8.672 0.000
-2.642 0.000 7.042
Na B C
10 16 4
direct
0.000 0.000 0.000
0.000 0.500 0.000
0.198 0.004 0.401
0.198 0.496 0.401
0.399 0.507 0.800
0.399 0.993 0.800
0.601 0.007 0.200
0.601 0.493 0.200
0.802 0.504 0.599
0.802 0.996 0.599
0.061 0.750 0.811
0.080 0.250 0.800
0.124 0.750 0.592
0.249 0.750 0.201
0.267 0.250 0.192
0.374 0.750 0.012
0.436 0.250 0.611
0.448 0.750 0.588
0.552 0.250 0.412
0.564 0.750 0.389
0.626 0.250 0.988
0.733 0.750 0.808
0.751 0.250 0.799
0.876 0.250 0.408
0.920 0.750 0.200
0.939 0.250 0.189
0.139 0.250 0.604
0.334 0.250 0.996
0.666 0.750 0.004
0.861 0.750 0.396
```

The 10 most intense peaks (10° ≤ 2θ ≤ 90°), in order of rising 2θ:
2θ 33.9, 2.642 Å, I = 13; 2θ 36.1, 2.486 Å, I = 17; 2θ 40.0, 2.256 Å, I = 50; 2θ 41.7, 2.168 Å, I = 38; 2θ 41.9, 2.157 Å, I = 100; 2θ 56.3, 1.634 Å, I = 9; 2θ 62.1, 1.494 Å, I = 9; 2θ 76.2, 1.249 Å, I = 13; 2θ 77.6, 1.230 Å, I = 17; 2θ 80.4, 1.195 Å, I = 10

=====

[7]
Simulated PXRD pattern of Na10B13C7 for λ = 1.5418 Å (Cu Kα), from a PBE-relaxed structure.
No peak broadening, texture or thermal motion is included.

Structural model:
```
Na10B13C7
1.0
8.899 -1.413 0.000
8.899 1.413 0.000
-5.286 0.000 12.158
Na B C
10 13 7
direct
0.000 0.000 0.000
0.000 0.000 0.494
0.200 0.200 0.395
0.203 0.203 0.899
0.401 0.401 0.295
0.401 0.401 0.798
0.600 0.600 0.198
0.603 0.603 0.696
0.799 0.799 0.597
0.802 0.802 0.098
0.032 0.032 0.308
0.035 0.035 0.816
0.169 0.169 0.582
0.171 0.171 0.087
0.241 0.241 0.727
0.360 0.360 0.463
0.427 0.427 0.600
0.434 0.434 0.115
0.578 0.578 0.902
0.629 0.629 0.501
0.765 0.765 0.275
0.837 0.837 0.921
0.970 0.970 0.685
0.234 0.234 0.213
0.369 0.369 0.985
0.565 0.565 0.373
0.639 0.639 0.024
0.772 0.772 0.790
0.829 0.829 0.401
0.967 0.967 0.179
```

The 10 most intense peaks (10° ≤ 2θ ≤ 90°), in order of rising 2θ:
2θ 35.4, 2.537 Å, I = 8; 2θ 36.4, 2.469 Å, I = 12; 2θ 41.4, 2.180 Å, I = 36; 2θ 42.3, 2.136 Å, I = 100; 2θ 57.1, 1.614 Å, I = 7; 2θ 64.2, 1.451 Å, I = 12; 2θ 77.5, 1.232 Å, I = 9; 2θ 80.0, 1.200 Å, I = 12; 2θ 81.1, 1.186 Å, I = 7; 2θ 81.7, 1.178 Å, I = 6

=====

[8]
Simulated PXRD pattern of Na4B7C for λ = 1.5418 Å (Cu Kα), from a PBE-relaxed structure.
No peak broadening, texture or thermal motion is included.

Structural model:
```
Na4B7C
1.0
8.656 0.000 0.000
0.000 6.025 0.000
0.000 0.000 5.097
Na B C
8 14 2
direct
0.248 0.125 0.000
0.248 0.875 0.500
0.249 0.375 0.501
0.249 0.625 0.001
0.751 0.375 0.501
0.751 0.625 0.001
0.752 0.125 0.000
0.752 0.875 0.500
0.000 0.125 0.327
0.000 0.125 0.674
0.000 0.375 0.174
0.000 0.375 0.826
0.000 0.625 0.326
0.000 0.625 0.674
0.000 0.875 0.174
0.000 0.875 0.827
0.500 0.122 0.317
0.500 0.141 0.697
0.500 0.385 0.164
0.500 0.615 0.664
0.500 0.859 0.197
0.500 0.878 0.817
0.500 0.382 0.824
0.500 0.618 0.324
```

The 10 most intense peaks (10° ≤ 2θ ≤ 90°), in order of rising 2θ:
2θ 34.6, 2.594 Å, I = 23; 2θ 40.6, 2.225 Å, I = 100; 2θ 41.1, 2.196 Å, I = 56; 2θ 41.7, 2.164 Å, I = 37; 2θ 55.3, 1.662 Å, I = 12; 2θ 61.6, 1.506 Å, I = 10; 2θ 62.8, 1.480 Å, I = 18; 2θ 75.4, 1.261 Å, I = 12; 2θ 76.7, 1.242 Å, I = 13; 2θ 78.2, 1.222 Å, I = 22

=====

[9]
Simulated PXRD pattern of Na10B13C7 for λ = 1.5418 Å (Cu Kα), from a PBE-relaxed structure.
No peak broadening, texture or thermal motion is included.

Structural model:
```
Na10B13C7
1.0
8.908 -1.415 0.000
8.908 1.415 0.000
-5.290 0.000 12.140
Na B C
10 13 7
direct
0.000 0.000 0.000
0.000 0.000 0.497
0.199 0.199 0.400
0.201 0.201 0.900
0.400 0.400 0.799
0.401 0.401 0.299
0.599 0.599 0.201
0.602 0.602 0.698
0.798 0.798 0.600
0.802 0.802 0.101
0.027 0.027 0.803
0.030 0.030 0.311
0.168 0.168 0.585
0.177 0.177 0.104
0.240 0.240 0.729
0.364 0.364 0.477
0.433 0.433 0.118
0.569 0.569 0.887
0.627 0.627 0.504
0.635 0.635 0.019
0.770 0.770 0.290
0.837 0.837 0.924
0.958 0.958 0.666
0.238 0.238 0.226
0.369 0.369 0.987
0.427 0.427 0.605
0.563 0.563 0.376
0.772 0.772 0.792
0.834 0.834 0.415
0.965 0.965 0.182
```

The 10 most intense peaks (10° ≤ 2θ ≤ 90°), in order of rising 2θ:
2θ 35.4, 2.534 Å, I = 8; 2θ 36.4, 2.470 Å, I = 13; 2θ 41.4, 2.179 Å, I = 36; 2θ 42.3, 2.137 Å, I = 100; 2θ 57.0, 1.615 Å, I = 7; 2θ 64.2, 1.450 Å, I = 12; 2θ 77.4, 1.233 Å, I = 9; 2θ 80.0, 1.200 Å, I = 12; 2θ 81.0, 1.186 Å, I = 7; 2θ 81.7, 1.179 Å, I = 6